For KLi2W2O7, DFT lattice parameters and positions (GGA+U) gives the simulated X-ray powder pattern in this record (Cu Kα (weighted mean of Kα1 and Kα2)).
Peak positions follow from Bragg's law for the DFT cell and can differ from measured ones.

Cell and atoms:
Lattice parameters (Å, degrees): 9.442 9.442 9.442 155.81 155.79 34.49
Atoms (fractional coordinates):
1 K 0.000 0.000 0.000
2 Li 0.249 0.749 0.500
3 Li 0.751 0.251 0.500
4 W 0.387 0.387 0.000
5 W 0.613 0.613 0.000
6 O 0.111 0.611 0.500
7 O 0.282 0.282 0.000
8 O 0.390 0.890 0.500
9 O 0.500 0.500 0.000
10 O 0.610 0.110 0.500
11 O 0.718 0.718 0.000
12 O 0.889 0.389 0.500

Main lines, sorted by position (10 to 80 degrees two-theta):
2θ/deg  I (rel.)
19.7  54.2
23.0  100.0
27.0  56.5
32.0  46.5
33.6  66.0
37.8  19.6
45.8  32.8
51.1  23.9
51.9  22.8
58.0  27.5